No. 1
Starting from a DFT-relaxed cell (GGA-PBE, Alexandria), the X-ray diffraction stick pattern of Ce4GaSi3Rh12 was computed for a wavelength of 1.5418 Å.
No peak broadening, texture or thermal motion is included.

Crystal structure
```
Ce4GaSi3Rh12
1.0
-4.5220 4.5220 4.5220
4.5220 -4.5220 4.5220
4.5220 4.5220 -4.5220
Ce Ga Si Rh
4 1 3 12
direct
0.0000 0.0000 0.5000
0.0000 0.5000 0.0000
0.5000 0.0000 0.0000
0.5000 0.5000 0.5000
0.0000 0.0000 0.0000
0.0000 0.5000 0.5000
0.5000 0.0000 0.5000
0.5000 0.5000 0.0000
0.0000 0.2568 0.2568
0.0000 0.7432 0.7432
0.2500 0.5000 0.7500
0.2500 0.7500 0.5000
0.2568 0.0000 0.2568
0.2568 0.2568 0.0000
0.5000 0.2500 0.7500
0.5000 0.7500 0.2500
0.7432 0.0000 0.7432
0.7432 0.7432 0.0000
0.7500 0.2500 0.5000
0.7500 0.5000 0.2500
```

Top 10 peaks for 10 to 90 degrees two-theta, by intensity:
2θ 34.35, intensity 100; 2θ 39.87, intensity 70; 2θ 57.66, intensity 47; 2θ 68.86, intensity 38; 2θ 72.39, intensity 16; 2θ 27.90, intensity 8; 2θ 85.99, intensity 7; 2θ 49.37, intensity 3; 2θ 79.27, intensity 2; 2θ 65.25, intensity 2

***

No. 2
Starting from a DFT-relaxed cell (GGA-PBE, Alexandria), the X-ray diffraction stick pattern of Ce2Ga2Si4Rh was computed for a wavelength of 1.5418 Å.
No peak broadening, texture or thermal motion is included.

Crystal structure
```
Ce2Ga2Si4Rh
1.0
-3.0479 3.0479 4.3553
3.0479 -3.0479 4.3553
3.0479 3.0479 -4.3553
Ce Ga Si Rh
2 2 4 1
direct
0.2500 0.7500 0.5000
0.7500 0.2500 0.5000
0.2113 0.2113 0.0000
0.7887 0.7887 0.0000
0.2159 0.2159 0.4317
0.2159 0.7841 0.0000
0.7841 0.2159 0.0000
0.7841 0.7841 0.5683
0.5000 0.5000 0.0000
```

Top 10 peaks for 10 to 90 degrees two-theta, by intensity:
2θ 35.96, intensity 100; 2θ 29.30, intensity 94; 2θ 41.92, intensity 77; 2θ 29.15, intensity 71; 2θ 60.43, intensity 41; 2θ 41.47, intensity 34; 2θ 45.65, intensity 31; 2θ 51.58, intensity 29; 2θ 68.86, intensity 27; 2θ 51.87, intensity 24

***

No. 3
Starting from a DFT-relaxed cell (GGA-PBE, Alexandria), the X-ray diffraction stick pattern of Ce2Th2Ga4Rh was computed for a wavelength of 1.5418 Å.
No peak broadening, texture or thermal motion is included.

Crystal structure
```
Ce2Th2Ga4Rh
1.0
-3.6946 3.6946 3.9443
3.6946 -3.6946 3.9443
3.6946 3.6946 -3.9443
Ce Th Ga Rh
2 2 4 1
direct
0.1775 0.1775 0.0000
0.8225 0.8225 0.0000
0.2500 0.7500 0.5000
0.7500 0.2500 0.5000
0.2599 0.2599 0.5198
0.2599 0.7401 0.0000
0.7401 0.2599 0.0000
0.7401 0.7401 0.4802
0.5000 0.5000 0.0000
```

Top 10 peaks for 10 to 90 degrees two-theta, by intensity:
2θ 33.23, intensity 100; 2θ 34.33, intensity 89; 2θ 24.09, intensity 50; 2θ 49.34, intensity 41; 2θ 60.78, intensity 35; 2θ 28.35, intensity 34; 2θ 45.10, intensity 19; 2θ 36.26, intensity 19; 2θ 44.01, intensity 18; 2θ 58.65, intensity 18

***

No. 4
Starting from a DFT-relaxed cell (GGA-PBE, Alexandria), the X-ray diffraction stick pattern of Ce3GaRu was computed for a wavelength of 1.5418 Å.
No peak broadening, texture or thermal motion is included.

Crystal structure
```
Ce3GaRu
1.0
0.0000 4.5151 7.9876
3.2252 0.0000 7.9876
3.2252 4.5151 0.0000
Ce Ga Ru
6 2 2
direct
0.1976 0.1976 0.8024
0.2020 0.6141 0.3859
0.3859 0.7980 0.2020
0.6141 0.2020 0.7980
0.7980 0.3859 0.6141
0.8024 0.8024 0.1976
0.1932 0.8068 0.8068
0.8068 0.1932 0.1932
0.2500 0.2500 0.2500
0.7500 0.7500 0.7500
```

Top 10 peaks for 10 to 90 degrees two-theta, by intensity:
2θ 36.02, intensity 100; 2θ 39.28, intensity 62; 2θ 32.82, intensity 55; 2θ 33.32, intensity 55; 2θ 35.79, intensity 37; 2θ 41.16, intensity 30; 2θ 60.62, intensity 30; 2θ 39.93, intensity 27; 2θ 27.66, intensity 25; 2θ 29.87, intensity 18

***

No. 5
Starting from a DFT-relaxed cell (GGA-PBE, Alexandria), the X-ray diffraction stick pattern of Ce3GaRu was computed for a wavelength of 1.5418 Å.
No peak broadening, texture or thermal motion is included.

Crystal structure
```
Ce3GaRu
1.0
5.3096 0.0000 0.0000
0.0000 6.4289 0.0000
-0.9443 0.0000 6.9430
Ce Ga Ru
6 2 2
direct
0.1327 0.2500 0.1176
0.3585 0.0231 0.6543
0.3585 0.4769 0.6543
0.6415 0.5231 0.3457
0.6415 0.9769 0.3457
0.8673 0.7500 0.8824
0.1328 0.7500 0.3007
0.8672 0.2500 0.6993
0.3399 0.7500 0.9693
0.6601 0.2500 0.0307
```

Top 10 peaks for 10 to 90 degrees two-theta, by intensity:
2θ 30.65, intensity 100; 2θ 36.04, intensity 81; 2θ 29.24, intensity 69; 2θ 38.18, intensity 56; 2θ 40.44, intensity 54; 2θ 32.65, intensity 50; 2θ 34.80, intensity 48; 2θ 54.59, intensity 33; 2θ 37.59, intensity 31; 2θ 22.54, intensity 29

***

No. 6
Starting from a DFT-relaxed cell (GGA-PBE, Alexandria), the X-ray diffraction stick pattern of Ce4Ga16Ru3 was computed for a wavelength of 1.5418 Å.
No peak broadening, texture or thermal motion is included.

Crystal structure
```
Ce4Ga16Ru3
1.0
6.1914 0.0000 0.0000
0.0000 6.1914 0.0000
0.0000 0.0000 11.3285
Ce Ga Ru
4 16 3
direct
0.0000 0.5000 0.1935
0.0000 0.5000 0.8065
0.5000 0.0000 0.1935
0.5000 0.0000 0.8065
0.0000 0.0000 0.1980
0.0000 0.0000 0.8020
0.2132 0.2132 0.0000
0.2132 0.7868 0.0000
0.2496 0.2496 0.3819
0.2496 0.2496 0.6181
0.2496 0.7504 0.3819
0.2496 0.7504 0.6181
0.5000 0.5000 0.2230
0.5000 0.5000 0.7770
0.7504 0.2496 0.3819
0.7504 0.2496 0.6181
0.7504 0.7504 0.3819
0.7504 0.7504 0.6181
0.7868 0.2132 0.0000
0.7868 0.7868 0.0000
0.0000 0.5000 0.5000
0.5000 0.0000 0.5000
0.5000 0.5000 0.0000
```

Top 10 peaks for 10 to 90 degrees two-theta, by intensity:
2θ 37.57, intensity 100; 2θ 41.24, intensity 76; 2θ 32.97, intensity 34; 2θ 31.28, intensity 32; 2θ 58.64, intensity 28; 2θ 72.74, intensity 27; 2θ 43.30, intensity 25; 2θ 39.78, intensity 24; 2θ 59.74, intensity 24; 2θ 20.28, intensity 15